This entry pairs a crystal structure of NpP with its theoretical X-ray diffraction stick pattern. Radiation: Cu Kα, 1.54184 Å. Structure: a crystal structure in the Materials Project, relaxed with PBE.

Largest 6 diffraction maxima, by angle, 2θ = 5–70°:
d [Å]	Rel. int.
3.241	100.0
2.807	90.0
1.985	67.1
1.693	49.9
1.621	23.8
1.403	11.1

a = 5.614 Å, b = 5.614 Å, c = 5.614 Å
α = 90.00°, β = 90.00°, γ = 90.00°
Space group Fm-3m (No. 225)
One atom of each set of equivalent atoms:
Np  0.000  0.000  0.000 x4
P  0.000  0.000  0.500 x4